(1)
Starting from a cell relaxed with PBE, the XRD peak list of DyAlGa2Pt4 was simulated for Cu Kα.
Peak positions follow from Bragg's law for the DFT cell and can differ from measured ones.

Most intense lines, 10 to 90 degrees two-theta, by intensity:
two_theta  intensity
41.8  100
37.1  64
34.4  58
70.6  28
27.7  27
29.6  25
46.1  22
57.1  19
73.2  18
76.3  17
55.2  15
71.6  14

Crystal structure
```
8
Lattice="2.161 1.248 8.484 -2.161 1.248 8.484 0.000 -2.495 8.484" Properties=species:S:1:pos:R:3 pbc="T T T"
Dy 0.000 0.000 0.000
Al 0.000 0.000 12.726
Ga 0.000 0.000 6.349
Ga 0.000 0.000 19.103
Pt 0.000 0.000 3.446
Pt 0.000 0.000 10.231
Pt 0.000 0.000 15.221
Pt 0.000 0.000 22.006
```

(2)
Starting from a cell relaxed with PBE, the XRD peak list of Tb2DyAl2Ga2 was simulated for Cu Kα.
Peak positions follow from Bragg's law for the DFT cell and can differ from measured ones.

Most intense lines, 10 to 90 degrees two-theta, by intensity:
two_theta  intensity
32.9  100
31.0  63
24.3  59
42.4  58
61.2  26
54.7  23
71.6  21
51.6  18
42.0  14
53.5  14
70.6  12
77.6  10

Crystal structure
```
7
Lattice="2.130 1.230 10.757 -2.130 1.230 10.757 0.000 -2.460 10.757" Properties=species:S:1:pos:R:3 pbc="T T T"
Tb 0.000 0.000 4.032
Tb 0.000 0.000 28.240
Dy 0.000 0.000 0.000
Al 0.000 0.000 12.657
Al 0.000 0.000 19.614
Ga 0.000 0.000 8.486
Ga 0.000 0.000 23.785
```

- Number 2 is which compound?
  Tb2DyAl2Ga2

Please write out number 2 again, unchanged.
Starting from a cell relaxed with PBE, the XRD peak list of Tb2DyAl2Ga2 was simulated for Cu Kα.
Peak positions follow from Bragg's law for the DFT cell and can differ from measured ones.

Most intense lines, 10 to 90 degrees two-theta, by intensity:
two_theta  intensity
32.9  100
31.0  63
24.3  59
42.4  58
61.2  26
54.7  23
71.6  21
51.6  18
42.0  14
53.5  14
70.6  12
77.6  10

Crystal structure
```
7
Lattice="2.130 1.230 10.757 -2.130 1.230 10.757 0.000 -2.460 10.757" Properties=species:S:1:pos:R:3 pbc="T T T"
Tb 0.000 0.000 4.032
Tb 0.000 0.000 28.240
Dy 0.000 0.000 0.000
Al 0.000 0.000 12.657
Al 0.000 0.000 19.614
Ga 0.000 0.000 8.486
Ga 0.000 0.000 23.785
```